No. 1
For LiInMo6Se6, the GGA-PBE geometry in the Materials Project gives the theoretical powder diffractogram in this record (copper Kα).
Peak positions follow from Bragg's law for the DFT cell and can differ from measured ones.

Cell lengths 9.456, 9.456, 4.515 Å; angles 90.00, 90.00, 120.00 degrees
Fractional coordinates of all 14 atoms:
Li  0.000  0.000  0.000
In  0.667  0.333  0.500
Mo  0.158  0.640  0.000
Mo  0.183  0.493  0.500
Mo  0.310  0.817  0.500
Mo  0.360  0.518  0.000
Mo  0.482  0.842  0.000
Mo  0.507  0.690  0.500
Se  0.043  0.316  0.000
Se  0.273  0.957  0.000
Se  0.375  0.369  0.500
Se  0.631  0.006  0.500
Se  0.684  0.727  0.000
Se  0.994  0.625  0.500

Main lines, sorted by position (10 to 90 degrees two-theta):
d_spacing, I_rel
8.189, 100.0
3.954, 8.2
3.265, 10.9
3.095, 13.7
2.553, 13.0
2.271, 7.6
2.258, 14.4
2.176, 7.3
2.094, 28.4
2.029, 31.5

No. 2
For LiInN, the GGA-PBE geometry in the Materials Project gives the theoretical powder diffractogram in this record (copper Kα).
Peak positions follow from Bragg's law for the DFT cell and can differ from measured ones.

Cell lengths 3.665, 3.665, 4.187 Å; angles 90.00, 90.00, 120.00 degrees
Fractional coordinates of all 3 atoms:
Li  0.000  0.000  0.000
In  0.667  0.333  0.500
N  0.667  0.333  0.000

Main lines, sorted by position (10 to 90 degrees two-theta):
d_spacing, I_rel
4.187, 37.0
3.174, 100.0
2.529, 72.8
1.832, 21.6
1.748, 32.6
1.679, 18.2
1.587, 11.7
1.484, 14.1
1.379, 16.0
1.153, 12.6

No. 3
For LiInN, the GGA-PBE geometry in the Materials Project gives the theoretical powder diffractogram in this record (copper Kα).
Peak positions follow from Bragg's law for the DFT cell and can differ from measured ones.

Cell lengths 8.664, 3.365, 5.665 Å; angles 90.00, 90.00, 90.00 degrees
Fractional coordinates of all 12 atoms:
Li  0.088  0.250  0.096
Li  0.412  0.750  0.596
Li  0.588  0.250  0.404
Li  0.912  0.750  0.904
In  0.138  0.250  0.619
In  0.362  0.750  0.119
In  0.638  0.250  0.881
In  0.862  0.750  0.381
N  0.159  0.750  0.884
N  0.341  0.250  0.384
N  0.659  0.750  0.616
N  0.841  0.250  0.116

Main lines, sorted by position (10 to 90 degrees two-theta):
d_spacing, I_rel
4.741, 62.2
3.441, 100.0
2.893, 39.7
2.744, 78.3
2.692, 45.9
2.658, 80.5
2.573, 25.1
2.166, 28.8
2.102, 52.4
1.733, 80.8

No. 4
For LiNd4Nb2In2O14, the GGA-PBE geometry in the Materials Project gives the theoretical powder diffractogram in this record (copper Kα).
Peak positions follow from Bragg's law for the DFT cell and can differ from measured ones.

Cell lengths 7.591, 7.591, 7.609 Å; angles 119.00, 119.00, 60.06 degrees
Fractional coordinates of all 23 atoms:
Li  0.000  0.000  0.000
Nd  0.274  0.274  0.270
Nd  0.274  0.765  0.742
Nd  0.281  0.281  0.789
Nd  0.765  0.274  0.742
Nb  0.290  0.763  0.271
Nb  0.763  0.290  0.271
In  0.764  0.764  0.753
In  0.777  0.777  0.267
O  0.075  0.075  0.300
O  0.119  0.694  0.947
O  0.130  0.675  0.353
O  0.140  0.140  0.903
O  0.389  0.389  0.638
O  0.413  0.882  0.597
O  0.431  0.431  0.168
O  0.435  0.867  0.202
O  0.672  0.672  0.913
O  0.675  0.130  0.353
O  0.694  0.119  0.947
O  0.867  0.435  0.202
O  0.872  0.872  0.618
O  0.882  0.413  0.597

Main lines, sorted by position (10 to 90 degrees two-theta):
d_spacing, I_rel
3.152, 51.4
3.116, 100.0
3.085, 49.5
2.722, 22.6
2.688, 42.8
1.928, 32.4
1.901, 31.7
1.898, 32.6
1.638, 14.3
1.618, 14.1

Which formula does entry 1 have?
LiInMo6Se6